(1)
ScTlTc2: computed powder X-ray diffraction pattern (λ = 1.5418 Å (Cu Kα)), based on the GGA-PBE geometry in Alexandria.

The 12 most intense peaks (10° ≤ 2θ ≤ 80°), by intensity:
2θ (°), Rel. int.
36.7, 100
38.1, 87
40.8, 39
44.5, 31
26.7, 24
21.8, 23
61.9, 22
45.1, 22
15.3, 18
65.2, 18
70.7, 15
30.8, 13

Structural model:
a = 3.075 Å, b = 4.073 Å, c = 5.825 Å
α = 90.00°, β = 95.55°, γ = 90.00°
Fractional positions:
Sc1 0.000 0.000 0.000
Tl1 0.444 0.500 0.718
Tc1 0.497 0.500 0.240
Tc2 0.896 0.000 0.426

---

(2)
Sc4TcW: computed powder X-ray diffraction pattern (λ = 1.5418 Å (Cu Kα)), based on the GGA-PBE geometry in Alexandria.

The 12 most intense peaks (10° ≤ 2θ ≤ 80°), by intensity:
2θ (°), Rel. int.
38.7, 100
32.8, 72
62.6, 31
19.9, 30
58.6, 27
68.8, 21
40.5, 13
78.4, 12
51.6, 8
23.1, 7
72.5, 7
53.1, 3

Structural model:
a = 5.456 Å, b = 5.456 Å, c = 5.456 Å
α = 60.00°, β = 60.00°, γ = 60.00°
Fractional positions:
Sc1 0.125 0.125 0.125
Sc2 0.125 0.125 0.624
Sc3 0.125 0.624 0.125
Sc4 0.624 0.125 0.125
Tc1 0.750 0.750 0.750
W1 0.500 0.500 0.500

---

What is the formula in the second record?
Sc4TcW